Record 1
Starting from a DFT-relaxed cell (PBE+U, the Materials Project), the X-ray diffraction stick pattern of CeSbMo2O9 was simulated for λ = 1.5418 Å (Cu Kα).

Atomic structure:
a b c (Å): 9.901 9.901 11.070
angles (deg): 111.68 111.68 95.85
Atoms (fractional coordinates):
Ce 0.124 0.876 0.750
Ce 0.324 0.676 0.250
Ce 0.676 0.324 0.750
Ce 0.876 0.124 0.250
Sb 0.353 0.379 0.463
Sb 0.379 0.353 0.963
Sb 0.621 0.647 0.037
Sb 0.647 0.621 0.537
Mo 0.049 0.260 0.028
Mo 0.062 0.435 0.697
Mo 0.260 0.049 0.528
Mo 0.435 0.062 0.197
Mo 0.565 0.938 0.803
Mo 0.740 0.951 0.472
Mo 0.938 0.565 0.303
Mo 0.951 0.740 0.972
O 0.014 0.695 0.489
O 0.052 0.228 0.179
O 0.062 0.095 0.901
O 0.086 0.558 0.247
O 0.095 0.062 0.401
O 0.126 0.702 0.061
O 0.141 0.618 0.722
O 0.215 0.374 0.803
O 0.219 0.404 0.075
O 0.228 0.052 0.679
O 0.298 0.874 0.439
O 0.305 0.986 0.011
O 0.374 0.215 0.303
O 0.382 0.859 0.778
O 0.404 0.219 0.575
O 0.424 0.540 0.401
O 0.442 0.914 0.253
O 0.460 0.576 0.099
O 0.540 0.424 0.901
O 0.558 0.086 0.747
O 0.576 0.460 0.599
O 0.596 0.781 0.425
O 0.618 0.141 0.222
O 0.626 0.785 0.697
O 0.695 0.014 0.989
O 0.702 0.126 0.561
O 0.772 0.948 0.321
O 0.781 0.596 0.925
O 0.785 0.626 0.197
O 0.859 0.382 0.278
O 0.874 0.298 0.939
O 0.905 0.938 0.599
O 0.914 0.442 0.753
O 0.938 0.905 0.099
O 0.948 0.772 0.821
O 0.986 0.305 0.511

Principal peaks in the range 15° ≤ 2θ ≤ 90°, low angle first:
d (Å), I_rel
5.751, 30
3.910, 90
3.718, 31
3.648, 82
3.441, 94
3.312, 100
3.298, 68
3.212, 64
1.971, 37
1.965, 35
1.930, 43
1.824, 30

Record 2
Starting from a DFT-relaxed cell (PBE+U, the Materials Project), the X-ray diffraction stick pattern of Ce2TeMo6O45 was simulated for λ = 1.5418 Å (Cu Kα).

Atomic structure:
a b c (Å): 9.323 10.076 11.318
angles (deg): 77.61 84.80 68.22
Atoms (fractional coordinates):
Ce 0.000 0.000 0.000
Ce 0.476 0.466 0.626
Te 0.730 0.734 0.799
Mo 0.035 0.513 0.665
Mo 0.435 0.963 0.934
Mo 0.496 0.058 0.626
Mo 0.640 0.634 0.102
Mo 0.828 0.839 0.497
Mo 0.965 0.413 0.971
O 0.030 0.820 0.149
O 0.042 0.025 0.739
O 0.062 0.341 0.647
O 0.081 0.380 0.090
O 0.088 0.466 0.840
O 0.110 0.926 0.683
O 0.120 0.393 0.355
O 0.142 0.491 0.281
O 0.218 0.540 0.617
O 0.251 0.937 0.982
O 0.346 0.551 0.932
O 0.378 0.005 0.760
O 0.383 0.084 0.506
O 0.398 0.742 0.381
O 0.403 0.864 0.325
O 0.409 0.135 0.950
O 0.409 0.448 0.880
O 0.474 0.241 0.646
O 0.480 0.596 0.161
O 0.483 0.663 0.673
O 0.520 0.656 0.449
O 0.554 0.852 0.070
O 0.558 0.720 0.900
O 0.600 0.232 0.253
O 0.614 0.812 0.645
O 0.640 0.368 0.439
O 0.649 0.941 0.823
O 0.670 0.447 0.703
O 0.685 0.200 0.162
O 0.701 0.016 0.559
O 0.726 0.871 0.368
O 0.750 0.610 0.225
O 0.761 0.453 0.043
O 0.789 0.010 0.918
O 0.789 0.289 0.457
O 0.801 0.892 0.110
O 0.818 0.527 0.778
O 0.831 0.116 0.184
O 0.847 0.656 0.956
O 0.871 0.262 0.364
O 0.906 0.750 0.705
O 0.910 0.622 0.530
O 0.980 0.793 0.954
O 0.984 0.231 0.951
O 0.992 0.877 0.451

Principal peaks in the range 15° ≤ 2θ ≤ 90°, low angle first:
d (Å), I_rel
5.527, 36
4.830, 67
4.588, 36
4.434, 65
4.329, 36
3.939, 100
3.405, 32
3.387, 51
3.194, 34
3.108, 32
2.789, 51
2.632, 37

Record 3
Starting from a DFT-relaxed cell (PBE+U, the Materials Project), the X-ray diffraction stick pattern of CeTlMo2O8 was simulated for λ = 1.5418 Å (Cu Kα).

Atomic structure:
a b c (Å): 5.261 18.825 8.395
angles (deg): 90.00 90.00 90.00
Atoms (fractional coordinates):
Ce 0.000 0.007 0.250
Ce 0.000 0.993 0.750
Ce 0.500 0.493 0.750
Ce 0.500 0.507 0.250
Tl 0.000 0.230 0.750
Tl 0.000 0.770 0.250
Tl 0.500 0.270 0.250
Tl 0.500 0.730 0.750
Mo 0.023 0.399 0.016
Mo 0.023 0.601 0.516
Mo 0.477 0.101 0.516
Mo 0.477 0.899 0.016
Mo 0.523 0.101 0.984
Mo 0.523 0.899 0.484
Mo 0.977 0.399 0.484
Mo 0.977 0.601 0.984
O 0.102 0.312 0.475
O 0.102 0.688 0.975
O 0.225 0.400 0.843
O 0.225 0.600 0.343
O 0.240 0.408 0.185
O 0.240 0.592 0.685
O 0.244 0.464 0.503
O 0.244 0.536 0.003
O 0.256 0.036 0.003
O 0.256 0.964 0.503
O 0.260 0.092 0.685
O 0.260 0.908 0.185
O 0.275 0.100 0.343
O 0.275 0.900 0.843
O 0.398 0.188 0.975
O 0.398 0.812 0.475
O 0.602 0.188 0.525
O 0.602 0.812 0.025
O 0.725 0.100 0.157
O 0.725 0.900 0.657
O 0.740 0.092 0.815
O 0.740 0.908 0.315
O 0.744 0.036 0.497
O 0.744 0.964 0.997
O 0.756 0.464 0.997
O 0.756 0.536 0.497
O 0.760 0.408 0.315
O 0.760 0.592 0.815
O 0.775 0.400 0.657
O 0.775 0.600 0.157
O 0.898 0.312 0.025
O 0.898 0.688 0.525

Principal peaks in the range 15° ≤ 2θ ≤ 90°, low angle first:
d (Å), I_rel
4.338, 59
4.031, 22
3.634, 59
3.232, 100
3.133, 85
3.062, 74
2.630, 26
2.450, 25
2.099, 21
2.014, 65
1.764, 34
1.731, 25

Record 4
Starting from a DFT-relaxed cell (PBE+U, the Materials Project), the X-ray diffraction stick pattern of NaSrCeWO6 was simulated for λ = 1.5418 Å (Cu Kα).

Atomic structure:
a b c (Å): 5.981 5.981 5.981
angles (deg): 60.00 60.00 60.00
Atoms (fractional coordinates):
Na 0.000 0.000 0.000
Sr 0.500 0.500 0.500
Ce 0.750 0.750 0.750
W 0.250 0.250 0.250
O 0.017 0.017 0.483
O 0.017 0.483 0.017
O 0.017 0.483 0.483
O 0.483 0.017 0.017
O 0.483 0.017 0.483
O 0.483 0.483 0.017

Principal peaks in the range 15° ≤ 2θ ≤ 90°, low angle first:
d (Å), I_rel
4.884, 9
4.230, 44
2.991, 100
2.551, 4
2.115, 32
1.892, 19
1.727, 41
1.495, 20
1.410, 9
1.337, 18
1.221, 6
1.130, 22

Record 5
Starting from a DFT-relaxed cell (PBE+U, the Materials Project), the X-ray diffraction stick pattern of NaCeV4O12 was simulated for λ = 1.5418 Å (Cu Kα).

Atomic structure:
a b c (Å): 7.511 5.286 5.286
angles (deg): 87.65 90.00 90.00
Atoms (fractional coordinates):
Na 0.000 0.000 0.000
Ce 0.500 0.486 0.486
V 0.243 0.485 0.978
V 0.243 0.978 0.485
V 0.757 0.485 0.978
V 0.757 0.978 0.485
O 0.000 0.019 0.446
O 0.000 0.446 0.019
O 0.212 0.782 0.782
O 0.257 0.288 0.704
O 0.257 0.704 0.288
O 0.295 0.224 0.224
O 0.500 0.537 0.942
O 0.500 0.942 0.537
O 0.705 0.224 0.224
O 0.743 0.288 0.704
O 0.743 0.704 0.288
O 0.788 0.782 0.782

Principal peaks in the range 15° ≤ 2θ ≤ 90°, low angle first:
d (Å), I_rel
5.282, 42
4.320, 100
2.676, 42
2.641, 47
2.621, 47
2.262, 19
1.907, 25
1.878, 23
1.830, 19
1.542, 19
1.530, 20
1.511, 21

Record 6
Starting from a DFT-relaxed cell (PBE+U, the Materials Project), the X-ray diffraction stick pattern of Na2CeWO6 was simulated for λ = 1.5418 Å (Cu Kα).

Atomic structure:
a b c (Å): 5.905 5.905 5.905
angles (deg): 60.00 60.00 60.00
Atoms (fractional coordinates):
Na 0.250 0.250 0.250
Na 0.750 0.750 0.750
Ce 0.000 0.000 0.000
W 0.500 0.500 0.500
O 0.267 0.267 0.733
O 0.267 0.733 0.267
O 0.267 0.733 0.733
O 0.733 0.267 0.267
O 0.733 0.267 0.733
O 0.733 0.733 0.267

Principal peaks in the range 15° ≤ 2θ ≤ 90°, low angle first:
d (Å), I_rel
4.175, 100
2.952, 100
2.411, 10
2.088, 35
1.867, 43
1.705, 40
1.476, 21
1.392, 20
1.320, 18
1.205, 7
1.158, 9
1.116, 21

Record 7
Starting from a DFT-relaxed cell (PBE+U, the Materials Project), the X-ray diffraction stick pattern of CeNiO3 was simulated for λ = 1.5418 Å (Cu Kα).

Atomic structure:
a b c (Å): 3.785 3.785 3.785
angles (deg): 90.00 90.00 90.00
Atoms (fractional coordinates):
Ce 0.000 0.000 0.000
Ni 0.500 0.500 0.500
O 0.000 0.500 0.500
O 0.500 0.000 0.500
O 0.500 0.500 0.000

Principal peaks in the range 15° ≤ 2θ ≤ 90°, low angle first:
d (Å), I_rel
3.785, 11
2.677, 100
2.186, 16
1.893, 31
1.693, 6
1.545, 38
1.338, 18
1.262, 3
1.197, 16
1.141, 5
1.093, 6

Record 8
Starting from a DFT-relaxed cell (PBE+U, the Materials Project), the X-ray diffraction stick pattern of CeNiO3 was simulated for λ = 1.5418 Å (Cu Kα).

Atomic structure:
a b c (Å): 5.720 7.671 5.319
angles (deg): 90.00 90.00 90.00
Atoms (fractional coordinates):
Ce 0.077 0.250 0.024
Ce 0.423 0.750 0.524
Ce 0.577 0.250 0.476
Ce 0.923 0.750 0.976
Ni 0.000 0.000 0.500
Ni 0.000 0.500 0.500
Ni 0.500 0.000 0.000
Ni 0.500 0.500 0.000
O 0.047 0.750 0.373
O 0.188 0.564 0.818
O 0.188 0.936 0.818
O 0.312 0.064 0.318
O 0.312 0.436 0.318
O 0.453 0.250 0.873
O 0.547 0.750 0.127
O 0.688 0.564 0.682
O 0.688 0.936 0.682
O 0.812 0.064 0.182
O 0.812 0.436 0.182
O 0.953 0.250 0.627

Principal peaks in the range 15° ≤ 2θ ≤ 90°, low angle first:
d (Å), I_rel
3.895, 10
3.473, 24
2.860, 17
2.733, 100
2.680, 14
2.660, 24
1.948, 15
1.918, 14
1.888, 15
1.748, 19
1.556, 12
1.549, 28

Record 9
Starting from a DFT-relaxed cell (PBE+U, the Materials Project), the X-ray diffraction stick pattern of SrCe3V4O16 was simulated for λ = 1.5418 Å (Cu Kα).

Atomic structure:
a b c (Å): 7.416 7.416 6.520
angles (deg): 90.00 90.00 90.00
Atoms (fractional coordinates):
Sr 0.000 0.000 0.000
Ce 0.000 0.500 0.752
Ce 0.500 0.000 0.248
Ce 0.500 0.500 0.500
V 0.000 0.000 0.500
V 0.000 0.500 0.253
V 0.500 0.000 0.747
V 0.500 0.500 0.000
O 0.000 0.188 0.661
O 0.000 0.327 0.076
O 0.000 0.673 0.076
O 0.000 0.812 0.661
O 0.183 0.500 0.426
O 0.188 0.000 0.339
O 0.320 0.500 0.827
O 0.327 0.000 0.924
O 0.500 0.183 0.574
O 0.500 0.320 0.173
O 0.500 0.680 0.173
O 0.500 0.817 0.574
O 0.673 0.000 0.924
O 0.680 0.500 0.827
O 0.812 0.000 0.339
O 0.817 0.500 0.426

Principal peaks in the range 15° ≤ 2θ ≤ 90°, low angle first:
d (Å), I_rel
4.896, 26
3.708, 100
2.768, 67
2.622, 20
2.311, 13
1.904, 58
1.854, 16
1.658, 13
1.540, 17
1.384, 13
1.328, 13
1.162, 12

Record 10
Starting from a DFT-relaxed cell (PBE+U, the Materials Project), the X-ray diffraction stick pattern of CeVO3 was simulated for λ = 1.5418 Å (Cu Kα).

Atomic structure:
a b c (Å): 3.920 3.920 3.920
angles (deg): 90.00 90.00 90.00
Atoms (fractional coordinates):
Ce 0.000 0.000 0.000
V 0.500 0.500 0.500
O 0.000 0.500 0.500
O 0.500 0.000 0.500
O 0.500 0.500 0.000

Principal peaks in the range 15° ≤ 2θ ≤ 90°, low angle first:
d (Å), I_rel
3.920, 20
2.772, 100
2.263, 24
1.960, 33
1.753, 10
1.600, 38
1.386, 19
1.307, 5
1.240, 16
1.182, 8
1.132, 7